The following is a theoretical powder X-ray diffraction pattern of Cs2H4Pt. It was derived from a DFT-relaxed cell (GGA-PBE, the Materials Project), using Cu Kα.
Neutral-atom scattering factors, no anomalous dispersion.

Cell and atoms:
a b c (Å): 6.230 6.230 8.961
angles (deg): 90.00 90.00 90.00
Atoms (fractional coordinates):
Cs (0.000, 0.500, 0.250)
Cs (0.000, 0.500, 0.750)
Cs (0.500, 0.000, 0.250)
Cs (0.500, 0.000, 0.750)
H (0.000, 0.000, 0.186)
H (0.000, 0.000, 0.814)
H (0.188, 0.188, 0.000)
H (0.312, 0.688, 0.500)
H (0.500, 0.500, 0.314)
H (0.500, 0.500, 0.686)
H (0.688, 0.312, 0.500)
H (0.812, 0.812, 0.000)
Pt (0.000, 0.000, 0.000)
Pt (0.500, 0.500, 0.500)

Most intense lines, 2θ = 5–70°, low angle first:
2θ (°)	Rel. int.	hkl
17.3	61	1 0 1
28.4	100	1 1 2
28.7	50	2 0 0
33.3	12	1 0 3
33.7	23	2 1 1
41.0	19	2 2 0
44.5	11	2 1 3
50.2	21	2 0 4
50.6	40	3 1 2
58.8	13	2 2 4